Theoretical XRD peak list of LaMn4Ga8 for a wavelength of 1.5418 Å, from a crystal structure in Alexandria, relaxed with GGA-PBE.

Peak list (10 most intense, 2θ from 15° to 90°, most intense first)
2θ/deg	intensity
40.32	100
40.04	35
45.08	31
34.68	29
73.34	20
34.40	17
45.34	16
65.60	13
28.13	13
73.17	13

Unit cell a=6.8368 b=6.8368 c=6.8368 alpha=98.36 beta=98.36 gamma=135.17
Sites, in units of the cell vectors:
La1 0.0000 0.0000 0.0000
Mn1 0.0000 0.0000 0.5000
Mn2 0.0000 0.5000 0.0000
Mn3 0.5000 0.0000 0.0000
Mn4 0.5000 0.5000 0.5000
Ga1 0.0000 0.3393 0.3393
Ga2 0.0000 0.6607 0.6607
Ga3 0.2682 0.5000 0.7682
Ga4 0.3393 0.0000 0.3393
Ga5 0.5000 0.2682 0.7682
Ga6 0.5000 0.7318 0.2318
Ga7 0.6607 0.0000 0.6607
Ga8 0.7318 0.5000 0.2318